# Pr3Dy5Tm3
Computed powder XRD pattern, Cu Kα. Input: a crystal structure in Alexandria, relaxed with PBE.

Principal peaks in the range 15° ≤ 2θ ≤ 90°, low angle first:
2θ (°), d_spacing, intensity, (hkl)
16.66, 5.323, 62, 0 0 1
27.04, 3.298, 98, 2 0 1
28.09, 3.176, 47, 2 1 0
31.95, 2.801, 55, 3 0 0
32.84, 2.727, 95, 2 1 1
33.68, 2.661, 63, 0 0 2
36.24, 2.479, 100, 3 0 1
42.33, 2.135, 37, 3 1 1
47.11, 1.929, 53, 3 0 2
59.74, 1.548, 44, 3 3 1
61.42, 1.509, 37, 5 1 0
71.92, 1.313, 33, 5 1 2

Cell and atoms:
abc: 9.703 9.703 5.323
angles: 90.00 90.00 120.00
Fractional coordinates of all 11 atoms:
Pr (0.000, 0.636, 0.000)
Pr (0.364, 0.364, 0.000)
Pr (0.636, 0.000, 0.000)
Dy (0.000, 0.261, 0.000)
Dy (0.261, 0.000, 0.000)
Dy (0.333, 0.667, 0.000)
Dy (0.667, 0.333, 0.000)
Dy (0.739, 0.739, 0.000)
Tm (0.000, 0.455, 0.500)
Tm (0.455, 0.000, 0.500)
Tm (0.545, 0.545, 0.500)